# 1
Calculated PXRD pattern
Compound: LaVO3
Radiation: Cu Kα X-rays
Structure: a DFT-relaxed cell (PBE+U, the Materials Project)

a = 5.5909 Å, b = 5.6774 Å, c = 7.9417 Å
α = 90.00°, β = 90.05°, γ = 90.11°
Positions (direct):
1 La 0.0113 0.0437 0.2499
2 La 0.4887 0.5438 0.2502
3 La 0.5113 0.4562 0.7498
4 La 0.9887 0.9563 0.7501
5 V 0.0000 0.5000 0.0000
6 V 0.0000 0.5000 0.5000
7 V 0.5000 0.0000 0.0000
8 V 0.5000 0.0000 0.5000
9 O 0.0872 0.5189 0.7498
10 O 0.2077 0.7858 0.0453
11 O 0.2080 0.7862 0.4545
12 O 0.2924 0.2860 0.0453
13 O 0.2922 0.2860 0.4546
14 O 0.4126 0.0184 0.7501
15 O 0.5874 0.9816 0.2499
16 O 0.7078 0.7140 0.5454
17 O 0.7076 0.7140 0.9547
18 O 0.7920 0.2138 0.5455
19 O 0.7923 0.2142 0.9547
20 O 0.9128 0.4811 0.2502

Main lines, in order of rising 2θ (2θ from 15° to 90°):
22.34°, rel. 31
31.52°, rel. 22
31.82°, rel. 100
32.02°, rel. 24
39.42°, rel. 14
45.54°, rel. 25
45.70°, rel. 15
56.91°, rel. 28

---

# 2
Calculated PXRD pattern
Compound: La2W2O9
Radiation: Cu Kα X-rays
Structure: a DFT-relaxed cell (PBE+U, the Materials Project)

a = 7.1688 Å, b = 7.4404 Å, c = 7.4524 Å
α = 70.86°, β = 84.79°, γ = 83.48°
Positions (direct):
1 La 0.1241 0.2726 0.4104
2 La 0.3420 0.7436 0.8491
3 La 0.6580 0.2564 0.1509
4 La 0.8759 0.7274 0.5896
5 W 0.2241 0.2707 0.9408
6 W 0.3437 0.7992 0.3556
7 W 0.6563 0.2008 0.6444
8 W 0.7759 0.7293 0.0592
9 O 0.0100 0.2335 0.0940
10 O 0.1569 0.6485 0.3598
11 O 0.1602 0.4856 0.7493
12 O 0.1827 0.9029 0.5313
13 O 0.2277 0.0855 0.8268
14 O 0.3177 0.4140 0.0890
15 O 0.3531 0.0556 0.2037
16 O 0.4771 0.2873 0.4693
17 O 0.4842 0.7294 0.1538
18 O 0.5158 0.2706 0.8462
19 O 0.5229 0.7127 0.5307
20 O 0.6469 0.9444 0.7963
21 O 0.6823 0.5860 0.9110
22 O 0.7723 0.9145 0.1732
23 O 0.8173 0.0971 0.4687
24 O 0.8398 0.5144 0.2507
25 O 0.8431 0.3515 0.6402
26 O 0.9900 0.7665 0.9060

Main lines, in order of rising 2θ (2θ from 15° to 90°):
18.07°, rel. 27
25.44°, rel. 100
27.10°, rel. 51
27.66°, rel. 75
28.68°, rel. 48
29.17°, rel. 39
30.77°, rel. 39
34.53°, rel. 27

---

# 3
Calculated PXRD pattern
Compound: LaW11O33
Radiation: Cu Kα X-rays
Structure: a DFT-relaxed cell (PBE+U, the Materials Project)

a = 8.6854 Å, b = 8.6891 Å, c = 9.5086 Å
α = 90.01°, β = 100.49°, γ = 113.59°
Positions (direct):
1 La 0.0000 0.0000 0.0000
2 W 0.0000 0.5000 0.5000
3 W 0.0964 0.1419 0.6763
4 W 0.1848 0.7691 0.8603
5 W 0.2774 0.4154 0.0489
6 W 0.3678 0.0430 0.2331
7 W 0.4514 0.6788 0.4117
8 W 0.5486 0.3212 0.5883
9 W 0.6322 0.9570 0.7669
10 W 0.7226 0.5846 0.9511
11 W 0.8152 0.2309 0.1397
12 W 0.9036 0.8581 0.3237
13 O 0.0000 0.0000 0.5000
14 O 0.0446 0.3105 0.0889
15 O 0.0456 0.3179 0.5909
16 O 0.0914 0.6365 0.6822
17 O 0.1320 0.9561 0.2659
18 O 0.1324 0.9556 0.7789
19 O 0.1772 0.2655 0.8673
20 O 0.2267 0.5905 0.4546
21 O 0.2273 0.5908 0.9545
22 O 0.2655 0.9116 0.0440
23 O 0.3094 0.2209 0.1327
24 O 0.3186 0.2276 0.6357
25 O 0.3640 0.5460 0.2268
26 O 0.4094 0.8635 0.3184
27 O 0.4094 0.8630 0.8174
28 O 0.4550 0.1813 0.4087
29 O 0.5000 0.5000 0.0000
30 O 0.5000 0.5000 0.5000
31 O 0.5450 0.8187 0.5913
32 O 0.5906 0.1370 0.1826
33 O 0.5906 0.1365 0.6816
34 O 0.6360 0.4540 0.7732
35 O 0.6814 0.7724 0.3644
36 O 0.6906 0.7791 0.8673
37 O 0.7345 0.0884 0.9560
38 O 0.7727 0.4092 0.0455
39 O 0.7733 0.4095 0.5454
40 O 0.8228 0.7345 0.1327
41 O 0.8676 0.0444 0.2211
42 O 0.8680 0.0439 0.7341
43 O 0.9086 0.3635 0.3178
44 O 0.9544 0.6821 0.4091
45 O 0.9554 0.6895 0.9111

Main lines, in order of rising 2θ (2θ from 15° to 90°):
22.89°, rel. 46
22.90°, rel. 91
32.60°, rel. 100
46.78°, rel. 34
52.70°, rel. 56
58.17°, rel. 34
68.31°, rel. 20
73.08°, rel. 19

---

# 4
Calculated PXRD pattern
Compound: La2W3O12
Radiation: Cu Kα X-rays
Structure: a DFT-relaxed cell (PBE+U, the Materials Project)

a = 7.2117 Å, b = 7.2117 Å, c = 11.8098 Å
α = 100.69°, β = 100.69°, γ = 112.15°
Positions (direct):
1 La 0.0549 0.3089 0.0965
2 La 0.3089 0.0549 0.5965
3 La 0.6911 0.9451 0.4035
4 La 0.9451 0.6911 0.9035
5 W 0.1177 0.8823 0.2500
6 W 0.1998 0.4952 0.4549
7 W 0.4952 0.1998 0.9549
8 W 0.5048 0.8002 0.0451
9 W 0.8002 0.5048 0.5451
10 W 0.8823 0.1177 0.7500
11 O 0.0160 0.6035 0.2190
12 O 0.0281 0.9483 0.1127
13 O 0.0517 0.9719 0.3873
14 O 0.0968 0.6711 0.5733
15 O 0.2032 0.3595 0.3086
16 O 0.2281 0.6260 0.0360
17 O 0.3208 0.3975 0.5602
18 O 0.3289 0.9032 0.9267
19 O 0.3595 0.2032 0.8086
20 O 0.3740 0.7719 0.4640
21 O 0.3965 0.9840 0.2810
22 O 0.3975 0.3208 0.0602
23 O 0.6025 0.6792 0.9398
24 O 0.6035 0.0160 0.7190
25 O 0.6260 0.2281 0.5360
26 O 0.6405 0.7968 0.1914
27 O 0.6711 0.0968 0.0733
28 O 0.6792 0.6025 0.4398
29 O 0.7719 0.3740 0.9640
30 O 0.7968 0.6405 0.6914
31 O 0.9032 0.3289 0.4267
32 O 0.9483 0.0281 0.6127
33 O 0.9719 0.0517 0.8873
34 O 0.9840 0.3965 0.7810

Main lines, in order of rising 2θ (2θ from 15° to 90°):
17.79°, rel. 21
24.09°, rel. 17
26.69°, rel. 100
28.29°, rel. 66
29.86°, rel. 27
44.84°, rel. 20
45.06°, rel. 34
52.02°, rel. 17

---

# 5
Calculated PXRD pattern
Compound: LaW9O28
Radiation: Cu Kα X-rays
Structure: a DFT-relaxed cell (PBE+U, the Materials Project)

a = 13.0389 Å, b = 13.0389 Å, c = 3.9028 Å
α = 90.00°, β = 90.00°, γ = 120.00°
Positions (direct):
1 La 0.0000 0.0000 0.0000
2 W 0.0000 0.5000 0.0204
3 W 0.1682 0.3363 0.0222
4 W 0.1682 0.8318 0.0222
5 W 0.3363 0.1682 0.0222
6 W 0.5000 0.0000 0.0204
7 W 0.5000 0.5000 0.0204
8 W 0.6637 0.8318 0.0222
9 W 0.8318 0.1682 0.0222
10 W 0.8318 0.6637 0.0222
11 O 0.0000 0.0000 0.5000
12 O 0.0000 0.2096 0.0193
13 O 0.0000 0.5000 0.5208
14 O 0.0000 0.7904 0.0193
15 O 0.1190 0.4523 0.0208
16 O 0.1190 0.6667 0.0208
17 O 0.1673 0.3346 0.5203
18 O 0.1673 0.8327 0.5203
19 O 0.2096 0.0000 0.0193
20 O 0.2096 0.2096 0.0193
21 O 0.3333 0.4523 0.0208
22 O 0.3333 0.8810 0.0208
23 O 0.3346 0.1673 0.5203
24 O 0.4523 0.1190 0.0208
25 O 0.4523 0.3333 0.0208
26 O 0.5000 0.0000 0.5208
27 O 0.5000 0.5000 0.5208
28 O 0.5477 0.6667 0.0208
29 O 0.5477 0.8810 0.0208
30 O 0.6654 0.8327 0.5203
31 O 0.6667 0.1190 0.0208
32 O 0.6667 0.5477 0.0208
33 O 0.7904 0.0000 0.0193
34 O 0.7904 0.7904 0.0193
35 O 0.8327 0.1673 0.5203
36 O 0.8327 0.6654 0.5203
37 O 0.8810 0.3333 0.0208
38 O 0.8810 0.5477 0.0208

Main lines, in order of rising 2θ (2θ from 15° to 90°):
22.78°, rel. 58
27.36°, rel. 100
35.89°, rel. 65
48.36°, rel. 25
54.10°, rel. 26
54.83°, rel. 30
61.67°, rel. 18
69.37°, rel. 17